[1]
For Ba4TiN4, a DFT-relaxed cell (GGA-PBE, the Materials Project) gives the calculated powder diffractogram in this record (CuKα).
Lines closer than 0.1° are merged.

Atomic structure:
```
Ba4TiN4
1.0
6.8161 0.0000 0.0000
2.7953 6.3202 0.0000
1.6239 2.4890 9.2220
Ba Ti N
8 2 8
Direct
0.2156 0.0032 0.0629 Ba
0.2382 0.7256 0.4642 Ba
0.2788 0.0756 0.6528 Ba
0.2832 0.5317 0.8804 Ba
0.7168 0.4683 0.1196 Ba
0.7212 0.9244 0.3472 Ba
0.7618 0.2744 0.5358 Ba
0.7844 0.9968 0.9371 Ba
0.2348 0.3399 0.2552 Ti
0.7652 0.6601 0.7448 Ti
0.0484 0.1706 0.3170 N
0.0693 0.6400 0.1404 N
0.4086 0.3136 0.4108 N
0.4562 0.1914 0.1224 N
0.5438 0.8086 0.8776 N
0.5914 0.6864 0.5892 N
0.9307 0.3600 0.8596 N
0.9516 0.8294 0.6830 N
```

Most intense lines, 2θ from 15° to 90°, most intense first:
28.5 deg, intensity 100; 28.7 deg, intensity 96; 31.1 deg, intensity 80; 32.8 deg, intensity 71; 28.3 deg, intensity 71; 28.9 deg, intensity 69; 29.0 deg, intensity 46; 35.4 deg, intensity 37; 35.6 deg, intensity 36; 47.8 deg, intensity 26

=====

[2]
For Sc3Re2Si3, a DFT-relaxed cell (GGA-PBE, the Materials Project) gives the calculated powder diffractogram in this record (CuKα).
Lines closer than 0.1° are merged.

Atomic structure:
```
Sc3Re2Si3
1.0
9.7322 -2.6397 0.0000
9.7322 2.6397 0.0000
-8.6155 0.0000 10.7056
Sc Re Si
12 8 12
Direct
0.0456 0.8125 0.8580 Sc
0.0615 0.2045 0.4775 Sc
0.1875 0.9544 0.6420 Sc
0.2045 0.0615 0.9775 Sc
0.2488 0.4279 0.1461 Sc
0.4279 0.2488 0.6461 Sc
0.5721 0.7512 0.3539 Sc
0.7512 0.5721 0.8539 Sc
0.7955 0.9385 0.0225 Sc
0.8125 0.0456 0.3580 Sc
0.9385 0.7955 0.5225 Sc
0.9544 0.1875 0.1420 Sc
0.0884 0.4190 0.7550 Re
0.3614 0.5750 0.0771 Re
0.4190 0.0884 0.2550 Re
0.4250 0.6386 0.4229 Re
0.5750 0.3614 0.5771 Re
0.5810 0.9116 0.7450 Re
0.6386 0.4250 0.9229 Re
0.9116 0.5810 0.2450 Re
0.1409 0.8591 0.2500 Si
0.1458 0.3031 0.3837 Si
0.2670 0.5155 0.3844 Si
0.3031 0.1458 0.8837 Si
0.3485 0.6515 0.7500 Si
0.4845 0.7330 0.1156 Si
0.5155 0.2670 0.8844 Si
0.6515 0.3485 0.2500 Si
0.6969 0.8542 0.1163 Si
0.7330 0.4845 0.6156 Si
0.8542 0.6969 0.6163 Si
0.8591 0.1409 0.7500 Si
```

Most intense lines, 2θ from 15° to 90°, most intense first:
40.2 deg, intensity 100; 42.6 deg, intensity 77; 25.7 deg, intensity 55; 23.5 deg, intensity 50; 27.5 deg, intensity 48; 35.2 deg, intensity 45; 18.3 deg, intensity 40; 17.8 deg, intensity 40; 29.7 deg, intensity 37; 37.3 deg, intensity 30

=====

[3]
For TaCu6O8, a DFT-relaxed cell (GGA-PBE, the Materials Project) gives the calculated powder diffractogram in this record (CuKα).
Lines closer than 0.1° are merged.

Atomic structure:
```
TaCu6O8
1.0
0.0000 4.6182 4.6182
4.6182 0.0000 4.6182
4.6182 4.6182 0.0000
Ta Cu O
1 6 8
Direct
0.0000 0.0000 0.0000 Ta
0.0000 0.0000 0.5000 Cu
0.0000 0.5000 0.0000 Cu
0.0000 0.5000 0.5000 Cu
0.5000 0.0000 0.0000 Cu
0.5000 0.0000 0.5000 Cu
0.5000 0.5000 0.0000 Cu
0.1344 0.1344 0.1344 O
0.1344 0.1344 0.5967 O
0.1344 0.5967 0.1344 O
0.4033 0.8656 0.8656 O
0.5967 0.1344 0.1344 O
0.8656 0.4033 0.8656 O
0.8656 0.8656 0.4033 O
0.8656 0.8656 0.8656 O
```

Most intense lines, 2θ from 15° to 90°, most intense first:
33.6 deg, intensity 100; 16.6 deg, intensity 77; 56.3 deg, intensity 45; 67.2 deg, intensity 37; 39.0 deg, intensity 31; 42.7 deg, intensity 24; 32.1 deg, intensity 16; 59.2 deg, intensity 14; 73.2 deg, intensity 8; 70.7 deg, intensity 8

=====

[4]
For Mo3WSe2S6, a DFT-relaxed cell (GGA-PBE, the Materials Project) gives the calculated powder diffractogram in this record (CuKα).
Lines closer than 0.1° are merged.

Atomic structure:
```
Mo3WSe2S6
1.0
3.2204 0.0000 0.0000
-1.6102 2.7889 0.0000
0.0000 0.0000 36.3489
Mo W Se S
3 1 2 6
Direct
0.0000 0.0000 0.0000 Mo
0.0000 0.0000 0.3757 Mo
0.3333 0.6667 0.5636 Mo
0.3333 0.6667 0.1879 W
0.0000 0.0000 0.5166 Se
0.0000 0.0000 0.6107 Se
0.0000 0.0000 0.1449 S
0.0000 0.0000 0.2308 S
0.3333 0.6667 0.0428 S
0.3333 0.6667 0.3330 S
0.3333 0.6667 0.4185 S
0.3333 0.6667 0.9572 S
```

Most intense lines, 2θ from 15° to 90°, most intense first:
37.9 deg, intensity 100; 46.0 deg, intensity 60; 32.1 deg, intensity 38; 57.2 deg, intensity 32; 34.4 deg, intensity 24; 47.9 deg, intensity 22; 33.0 deg, intensity 19; 58.7 deg, intensity 18; 32.5 deg, intensity 16; 81.7 deg, intensity 16

=====

[5]
For NdSm3, a DFT-relaxed cell (GGA-PBE, the Materials Project) gives the calculated powder diffractogram in this record (CuKα).
Lines closer than 0.1° are merged.

Atomic structure:
```
NdSm3
1.0
5.1569 0.0000 0.0000
0.0000 5.1569 0.0000
0.0000 0.0000 5.1569
Nd Sm
1 3
Direct
0.0000 0.0000 0.0000 Nd
0.0000 0.5000 0.5000 Sm
0.5000 0.0000 0.5000 Sm
0.5000 0.5000 0.0000 Sm
```

Most intense lines, 2θ from 15° to 90°, most intense first:
30.0 deg, intensity 100; 34.8 deg, intensity 51; 59.4 deg, intensity 43; 50.0 deg, intensity 36; 81.3 deg, intensity 18; 83.9 deg, intensity 16; 62.4 deg, intensity 12; 73.5 deg, intensity 6

=====

[6]
For CaGeO3, a DFT-relaxed cell (GGA-PBE, the Materials Project) gives the calculated powder diffractogram in this record (CuKα).
Lines closer than 0.1° are merged.

Atomic structure:
```
CaGeO3
1.0
6.0677 -3.5176 0.0000
6.0677 3.5176 0.0000
-3.9307 0.0000 10.2734
Ca Ge O
6 6 18
Direct
0.0000 0.5000 0.0000 Ca
0.1547 0.6713 0.5006 Ca
0.3287 0.8453 0.9994 Ca
0.5000 0.0000 0.5000 Ca
0.6713 0.1547 0.0006 Ca
0.8453 0.3287 0.4994 Ca
0.1478 0.8522 0.2500 Ge
0.3129 0.4191 0.7549 Ge
0.4191 0.3129 0.2549 Ge
0.5809 0.6871 0.7451 Ge
0.6871 0.5809 0.2451 Ge
0.8522 0.1478 0.7500 Ge
0.0028 0.8905 0.0946 O
0.1095 0.9972 0.4054 O
0.1680 0.3683 0.6001 O
0.1723 0.5819 0.2519 O
0.2789 0.4708 0.9134 O
0.3356 0.6644 0.7500 O
0.3683 0.1680 0.1001 O
0.4181 0.8277 0.2481 O
0.4708 0.2789 0.4134 O
0.5292 0.7211 0.5866 O
0.5819 0.1723 0.7519 O
0.6317 0.8320 0.8999 O
0.6644 0.3356 0.2500 O
0.7211 0.5292 0.0866 O
0.8277 0.4181 0.7481 O
0.8320 0.6317 0.3999 O
0.8905 0.0028 0.5946 O
0.9972 0.1095 0.9054 O
```

Most intense lines, 2θ from 15° to 90°, most intense first:
26.8 deg, intensity 100; 26.9 deg, intensity 52; 30.8 deg, intensity 46; 44.7 deg, intensity 38; 34.9 deg, intensity 31; 31.0 deg, intensity 24; 17.3 deg, intensity 19; 44.8 deg, intensity 17; 15.7 deg, intensity 14; 20.6 deg, intensity 9

=====

[7]
For Sr2SmBiO6, a DFT-relaxed cell (GGA-PBE, the Materials Project) gives the calculated powder diffractogram in this record (CuKα).
Lines closer than 0.1° are merged.

Atomic structure:
```
Sr2SmBiO6
1.0
8.6224 0.0000 0.0000
0.0000 8.6224 0.0000
0.0000 0.0000 8.6224
Sr Sm Bi O
8 4 4 24
Direct
0.2500 0.2500 0.2500 Sr
0.2500 0.2500 0.7500 Sr
0.2500 0.7500 0.2500 Sr
0.2500 0.7500 0.7500 Sr
0.7500 0.2500 0.2500 Sr
0.7500 0.2500 0.7500 Sr
0.7500 0.7500 0.2500 Sr
0.7500 0.7500 0.7500 Sr
0.0000 0.0000 0.0000 Sm
0.0000 0.5000 0.5000 Sm
0.5000 0.0000 0.5000 Sm
0.5000 0.5000 0.0000 Sm
0.0000 0.0000 0.5000 Bi
0.0000 0.5000 0.0000 Bi
0.5000 0.0000 0.0000 Bi
0.5000 0.5000 0.5000 Bi
0.0366 0.5470 0.7597 O
0.0366 0.9530 0.7403 O
0.0470 0.2403 0.5366 O
0.0470 0.2597 0.9634 O
0.2403 0.5366 0.0470 O
0.2403 0.9634 0.4530 O
0.2597 0.5366 0.4530 O
0.2597 0.9634 0.0470 O
0.4530 0.2403 0.9634 O
0.4530 0.2597 0.5366 O
0.4634 0.5470 0.7403 O
0.4634 0.9530 0.7597 O
0.5366 0.0470 0.2403 O
0.5366 0.4530 0.2597 O
0.5470 0.7403 0.4634 O
0.5470 0.7597 0.0366 O
0.7403 0.0366 0.9530 O
0.7403 0.4634 0.5470 O
0.7597 0.0366 0.5470 O
0.7597 0.4634 0.9530 O
0.9530 0.7403 0.0366 O
0.9530 0.7597 0.4634 O
0.9634 0.0470 0.2597 O
0.9634 0.4530 0.2403 O
```

Most intense lines, 2θ from 15° to 90°, most intense first:
29.3 deg, intensity 100; 52.0 deg, intensity 46; 41.9 deg, intensity 27; 84.0 deg, intensity 24; 20.6 deg, intensity 20; 68.9 deg, intensity 19; 60.8 deg, intensity 16; 47.1 deg, intensity 9; 76.6 deg, intensity 5; 64.9 deg, intensity 4

=====

[8]
For AlVFe2, a DFT-relaxed cell (GGA-PBE, the Materials Project) gives the calculated powder diffractogram in this record (CuKα).
Lines closer than 0.1° are merged.

Atomic structure:
```
AlVFe2
1.0
2.8739 0.0000 0.0000
0.0000 2.8739 0.0000
0.0000 0.0000 5.6926
Al V Fe
1 1 2
Direct
0.0000 0.0000 0.0000 Al
0.0000 0.0000 0.5000 V
0.5000 0.5000 0.2591 Fe
0.5000 0.5000 0.7409 Fe
```

Most intense lines, 2θ from 15° to 90°, most intense first:
44.8 deg, intensity 100; 44.6 deg, intensity 51; 82.3 deg, intensity 29; 64.9 deg, intensity 15; 82.8 deg, intensity 14; 15.6 deg, intensity 10; 65.6 deg, intensity 7; 31.1 deg, intensity 6; 31.4 deg, intensity 3; 55.6 deg, intensity 2

=====

[9]
For MgCo5N4, a DFT-relaxed cell (GGA-PBE, the Materials Project) gives the calculated powder diffractogram in this record (CuKα).
Lines closer than 0.1° are merged.

Atomic structure:
```
MgCo5N4
1.0
5.7377 0.0000 0.0000
0.0000 7.9889 0.0000
0.0000 0.0000 4.4044
Mg Co N
2 10 8
Direct
0.2500 0.2500 0.2038 Mg
0.7500 0.7500 0.7962 Mg
0.0044 0.0809 0.7661 Co
0.0044 0.4191 0.7661 Co
0.2500 0.7500 0.7940 Co
0.4956 0.0809 0.7661 Co
0.4956 0.4191 0.7661 Co
0.5044 0.5809 0.2339 Co
0.5044 0.9191 0.2339 Co
0.7500 0.2500 0.2060 Co
0.9956 0.5809 0.2339 Co
0.9956 0.9191 0.2339 Co
0.0216 0.7500 0.4967 N
0.2500 0.5311 0.9817 N
0.2500 0.9689 0.9817 N
0.4784 0.7500 0.4967 N
0.5216 0.2500 0.5033 N
0.7500 0.0311 0.0183 N
0.7500 0.4689 0.0183 N
0.9784 0.2500 0.5033 N
```

Most intense lines, 2θ from 15° to 90°, most intense first:
39.5 deg, intensity 100; 39.1 deg, intensity 81; 57.6 deg, intensity 34; 41.0 deg, intensity 30; 38.6 deg, intensity 28; 70.8 deg, intensity 24; 31.2 deg, intensity 23; 78.8 deg, intensity 22; 51.2 deg, intensity 22; 65.0 deg, intensity 13

=====

Please write out number 5 again, unchanged.
For NdSm3, a DFT-relaxed cell (GGA-PBE, the Materials Project) gives the calculated powder diffractogram in this record (CuKα).
Lines closer than 0.1° are merged.

Atomic structure:
```
NdSm3
1.0
5.1569 0.0000 0.0000
0.0000 5.1569 0.0000
0.0000 0.0000 5.1569
Nd Sm
1 3
Direct
0.0000 0.0000 0.0000 Nd
0.0000 0.5000 0.5000 Sm
0.5000 0.0000 0.5000 Sm
0.5000 0.5000 0.0000 Sm
```

Most intense lines, 2θ from 15° to 90°, most intense first:
30.0 deg, intensity 100; 34.8 deg, intensity 51; 59.4 deg, intensity 43; 50.0 deg, intensity 36; 81.3 deg, intensity 18; 83.9 deg, intensity 16; 62.4 deg, intensity 12; 73.5 deg, intensity 6